Computed PXRD pattern of Co3H2Se3O10 for Cu Kα (weighted mean of Kα1 and Kα2), from DFT lattice parameters and positions (PBE+U).
Lines closer than 0.1° are merged.

Structural model:
Lattice parameters (Å, degrees): 8.2307 8.3527 8.6799 69.01 63.10 67.56
Atoms (fractional coordinates):
1 Co 0.0000 0.0000 0.0000
2 Co 0.1541 0.5346 0.3010
3 Co 0.2166 0.3568 0.8912
4 Co 0.5000 0.5000 0.5000
5 Co 0.7834 0.6432 0.1088
6 Co 0.8459 0.4654 0.6990
7 H 0.4416 0.3128 0.0994
8 H 0.4674 0.6264 0.8056
9 H 0.5326 0.3736 0.1944
10 H 0.5584 0.6872 0.9006
11 Se 0.0700 0.7331 0.7395
12 Se 0.2950 0.1691 0.5686
13 Se 0.3281 0.8256 0.2001
14 Se 0.6719 0.1744 0.7999
15 Se 0.7050 0.8309 0.4314
16 Se 0.9300 0.2669 0.2605
17 O 0.0328 0.4457 0.1738
18 O 0.0475 0.1950 0.0620
19 O 0.0971 0.3291 0.5300
20 O 0.1943 0.7840 0.1187
21 O 0.2062 0.0161 0.7508
22 O 0.2918 0.6015 0.7445
23 O 0.3092 0.6391 0.3780
24 O 0.3678 0.2851 0.6492
25 O 0.4134 0.3703 0.1960
26 O 0.4469 0.2323 0.9558
27 O 0.5531 0.7677 0.0442
28 O 0.5866 0.6297 0.8040
29 O 0.6322 0.7149 0.3508
30 O 0.6908 0.3609 0.6220
31 O 0.7082 0.3985 0.2555
32 O 0.7938 0.9839 0.2492
33 O 0.8057 0.2160 0.8813
34 O 0.9029 0.6709 0.4700
35 O 0.9525 0.8050 0.9380
36 O 0.9672 0.5543 0.8262

Peak list (6 most intense, 10° ≤ 2θ ≤ 90°, sorted by position)
14.64 deg, rel. 514, hkl 0 1 1
20.79 deg, rel. 524, hkl 1 1 2
27.44 deg, rel. 809, hkl 2 2 2
30.36 deg, rel. 940, hkl 2 -1 1
30.71 deg, rel. 552, hkl 1 2 -1
32.20 deg, rel. 1000, hkl -1 1 2